For YEr6Tm2, a structure optimized by DFT (PBE) gives the theoretical powder XRD pattern in this record (Cu Kα, 1.54184 Å).

Main lines, in order of rising 2θ (2θ = 10–80°):
- 30.57 deg, I 50
- 30.72 deg, I 58
- 31.41 deg, I 47
- 32.67 deg, I 100
- 33.92 deg, I 15
- 36.22 deg, I 31
- 39.88 deg, I 25
- 47.63 deg, I 14
- 55.87 deg, I 22
- 56.22 deg, I 21

Structural model:
Unit cell a=9.0204 b=17.4609 c=3.5727 alpha=90.00 beta=99.42 gamma=90.00
Space group C2/m (No. 12)
Asymmetric unit:
Y  0.0000  0.0000  0.0000 x2
Er  0.1640  0.5000  0.3319 x4
Er  0.1675  0.3337  0.8346 x8
Tm  0.0000  0.1689  0.5000 x4



For HfVCo2, a structure optimized by DFT (PBE) gives the theoretical powder XRD pattern in this record (Cu Kα, 1.54184 Å).

Main lines, in order of rising 2θ (2θ = 10–80°):
- 20.83 deg, I 38
- 29.62 deg, I 11
- 35.92 deg, I 20
- 41.88 deg, I 100
- 42.39 deg, I 48
- 47.68 deg, I 9
- 56.74 deg, I 11
- 61.50 deg, I 15
- 76.14 deg, I 16
- 77.19 deg, I 31

Structural model:
Unit cell a=4.2648 b=4.2648 c=3.0865 alpha=90.00 beta=90.00 gamma=90.00
Space group P4/mmm (No. 123)
Asymmetric unit:
Hf  0.0000  0.0000  0.0000 x1
V  0.5000  0.5000  0.0000 x1
Co  0.0000  0.5000  0.5000 x2



For PmNd2Er8, a structure optimized by DFT (PBE) gives the theoretical powder XRD pattern in this record (Cu Kα, 1.54184 Å).

Main lines, in order of rising 2θ (2θ = 10–80°):
- 29.74 deg, I 28
- 32.23 deg, I 100
- 32.33 deg, I 15
- 32.63 deg, I 34
- 33.53 deg, I 15
- 33.79 deg, I 12
- 47.49 deg, I 11
- 57.97 deg, I 19
- 63.17 deg, I 12
- 64.52 deg, I 12

Structural model:
Unit cell a=5.4889 b=8.0686 c=16.0346 alpha=90.00 beta=90.00 gamma=90.00
Space group Immm (No. 71)
Asymmetric unit:
Pm  0.0000  0.0000  0.0000 x2
Nd  0.0000  0.0000  0.2995 x4
Er  0.0000  0.2068  0.5000 x4
Er  0.0000  0.2923  0.1384 x8
Er  0.0000  0.5000  0.3395 x4



For Hf6CoHg, a structure optimized by DFT (PBE) gives the theoretical powder XRD pattern in this record (Cu Kα, 1.54184 Å).

Main lines, in order of rising 2θ (2θ = 10–80°):
- 27.41 deg, I 17
- 32.14 deg, I 65
- 33.69 deg, I 14
- 37.90 deg, I 19
- 39.02 deg, I 100
- 55.49 deg, I 20
- 59.14 deg, I 18
- 60.31 deg, I 11
- 63.73 deg, I 17
- 73.12 deg, I 10

Structural model:
Unit cell a=9.2443 b=9.2443 c=7.1224 alpha=90.00 beta=90.00 gamma=120.00
Space group R-3m (No. 166, hexagonal axes)
Asymmetric unit:
Hf  0.0543  0.5271  0.3078 x18
Co  0.0000  0.0000  0.5000 x3
Hg  0.0000  0.0000  0.0000 x3